Structure and computed XRD peak list of ThAl2Zn10 (a cell relaxed with PBE; a wavelength of 1.5418 Å).
Kinematic intensities with the Lorentz-polarization factor, no thermal factor.

Atomic structure:
Cell: 6.9012 6.9012 9.1512 Å, 90.00 90.00 99.48°
Fractional positions:
Th1 0.1333 0.8667 0.7500
Th2 0.8667 0.1333 0.2500
Al1 0.0000 0.5000 0.0000
Al2 0.0000 0.5000 0.5000
Al3 0.5000 0.0000 0.0000
Al4 0.5000 0.0000 0.5000
Zn1 0.1470 0.3844 0.7500
Zn2 0.1511 0.8489 0.1060
Zn3 0.1511 0.8489 0.3940
Zn4 0.2230 0.2230 0.0000
Zn5 0.2230 0.2230 0.5000
Zn6 0.2289 0.4834 0.2500
Zn7 0.3844 0.1470 0.2500
Zn8 0.3902 0.6098 0.5625
Zn9 0.3902 0.6098 0.9375
Zn10 0.4834 0.2289 0.7500
Zn11 0.5166 0.7711 0.2500
Zn12 0.6098 0.3902 0.0625
Zn13 0.6098 0.3902 0.4375
Zn14 0.6156 0.8530 0.7500
Zn15 0.7711 0.5166 0.7500
Zn16 0.7770 0.7770 0.0000
Zn17 0.7770 0.7770 0.5000
Zn18 0.8489 0.1511 0.6060
Zn19 0.8489 0.1511 0.8940
Zn20 0.8530 0.6156 0.2500

Peak list (10 most intense, 10 to 80 degrees two-theta, by angle)
2θ 28.0, intensity 189; 2θ 32.8, intensity 119; 2θ 34.0, intensity 525; 2θ 37.1, intensity 350; 2θ 39.4, intensity 156; 2θ 39.5, intensity 309; 2θ 39.7, intensity 1000; 2θ 40.4, intensity 199; 2θ 44.6, intensity 213; 2θ 73.1, intensity 181